# 1
VMo4W7: simulated powder diffractogram (copper Kα), based on a cell relaxed with PBE.
Intensities are scaled so that the largest is 100.

Main lines, low angle first (10 to 80 degrees two-theta):
19.28 deg, I 14; 40.58 deg, I 100; 40.72 deg, I 66; 40.91 deg, I 34; 58.77 deg, I 11; 58.96 deg, I 23; 73.68 deg, I 17; 73.96 deg, I 17; 74.09 deg, I 11; 74.34 deg, I 11

Structural model:
Cell: 2.730 9.233 9.250 Å, 118.75 95.68 95.63°
Element x y z (fractional)
V 0.000 0.000 0.000
Mo 0.240 0.162 0.539
Mo 0.456 0.304 0.074
Mo 0.545 0.691 0.917
Mo 0.766 0.849 0.462
W 0.066 0.386 0.841
W 0.135 0.767 0.695
W 0.321 0.537 0.391
W 0.379 0.923 0.226
W 0.611 0.076 0.769
W 0.832 0.232 0.308
W 0.918 0.614 0.154

***

# 2
V4Mo5W4: simulated powder diffractogram (copper Kα), based on a cell relaxed with PBE.
Intensities are scaled so that the largest is 100.

Main lines, low angle first (10 to 80 degrees two-theta):
16.05 deg, I 6; 22.14 deg, I 3; 27.25 deg, I 4; 31.63 deg, I 3; 31.96 deg, I 3; 40.88 deg, I 100; 59.15 deg, I 12; 59.26 deg, I 5; 74.43 deg, I 30; 74.50 deg, I 3

Structural model:
Cell: 6.801 6.801 8.104 Å, 119.00 119.00 37.91°
Element x y z (fractional)
V 0.076 0.076 0.188
V 0.387 0.387 0.963
V 0.613 0.613 0.037
V 0.924 0.924 0.812
Mo 0.000 0.000 0.500
Mo 0.306 0.306 0.267
Mo 0.462 0.462 0.660
Mo 0.538 0.538 0.340
Mo 0.694 0.694 0.733
W 0.153 0.153 0.888
W 0.232 0.232 0.579
W 0.768 0.768 0.421
W 0.847 0.847 0.112

***

# 3
V2Mo2W7: simulated powder diffractogram (copper Kα), based on a cell relaxed with PBE.
Intensities are scaled so that the largest is 100.

Main lines, low angle first (10 to 80 degrees two-theta):
20.37 deg, I 19; 29.10 deg, I 20; 33.05 deg, I 35; 38.80 deg, I 56; 39.83 deg, I 24; 40.39 deg, I 100; 43.29 deg, I 21; 43.71 deg, I 22; 45.79 deg, I 18; 71.31 deg, I 18

Structural model:
Cell: 6.401 6.401 4.697 Å, 104.84 104.84 92.98°
Element x y z (fractional)
V 0.233 0.767 0.000
V 0.767 0.233 0.000
Mo 0.193 0.193 0.134
Mo 0.807 0.807 0.866
W 0.000 0.000 0.500
W 0.079 0.592 0.333
W 0.408 0.921 0.667
W 0.414 0.414 0.706
W 0.586 0.586 0.294
W 0.592 0.079 0.333
W 0.921 0.408 0.667

***

# 4
V3Mo4W4: simulated powder diffractogram (copper Kα), based on a cell relaxed with PBE.
Intensities are scaled so that the largest is 100.

Main lines, low angle first (10 to 80 degrees two-theta):
19.05 deg, I 16; 25.72 deg, I 18; 40.61 deg, I 100; 40.95 deg, I 97; 58.98 deg, I 22; 59.16 deg, I 11; 73.60 deg, I 12; 74.32 deg, I 22; 74.42 deg, I 11; 74.54 deg, I 11

Structural model:
Cell: 14.183 14.183 2.732 Å, 93.80 93.80 17.90°
Element x y z (fractional)
V 0.000 0.000 0.000
V 0.364 0.364 0.902
V 0.636 0.636 0.098
Mo 0.180 0.180 0.453
Mo 0.455 0.455 0.635
Mo 0.545 0.545 0.365
Mo 0.820 0.820 0.547
W 0.090 0.090 0.725
W 0.274 0.274 0.186
W 0.726 0.726 0.814
W 0.910 0.910 0.275

***

# 5
VMoW3: simulated powder diffractogram (copper Kα), based on a cell relaxed with PBE.
Intensities are scaled so that the largest is 100.

Main lines, low angle first (10 to 80 degrees two-theta):
34.46 deg, I 65; 36.49 deg, I 49; 37.62 deg, I 89; 37.75 deg, I 71; 38.23 deg, I 46; 38.91 deg, I 38; 40.43 deg, I 100; 41.20 deg, I 52; 41.96 deg, I 48; 45.52 deg, I 33

Structural model:
Cell: 5.212 8.632 8.577 Å, 90.00 124.42 90.00°
Element x y z (fractional)
V 0.182 0.080 0.149
V 0.182 0.420 0.649
V 0.818 0.580 0.351
V 0.818 0.920 0.851
Mo 0.304 0.583 0.360
Mo 0.304 0.917 0.860
Mo 0.696 0.083 0.140
Mo 0.696 0.417 0.640
W 0.142 0.241 0.884
W 0.142 0.259 0.384
W 0.219 0.589 0.969
W 0.219 0.911 0.469
W 0.495 0.664 0.749
W 0.495 0.836 0.249
W 0.505 0.164 0.751
W 0.505 0.336 0.251
W 0.781 0.089 0.531
W 0.781 0.411 0.031
W 0.858 0.741 0.616
W 0.858 0.759 0.116

***

# 6
V4Mo4W5: simulated powder diffractogram (copper Kα), based on a cell relaxed with PBE.
Intensities are scaled so that the largest is 100.

Main lines, low angle first (10 to 80 degrees two-theta):
12.72 deg, I 16; 14.47 deg, I 13; 28.98 deg, I 7; 30.36 deg, I 7; 40.82 deg, I 100; 40.89 deg, I 50; 59.08 deg, I 17; 59.25 deg, I 8; 74.29 deg, I 17; 74.39 deg, I 29

Structural model:
Cell: 6.814 6.814 8.102 Å, 118.97 118.97 37.86°
Element x y z (fractional)
V 0.075 0.075 0.188
V 0.386 0.386 0.960
V 0.614 0.614 0.040
V 0.925 0.925 0.812
Mo 0.152 0.152 0.888
Mo 0.232 0.232 0.578
Mo 0.768 0.768 0.422
Mo 0.848 0.848 0.112
W 0.000 0.000 0.500
W 0.306 0.306 0.266
W 0.462 0.462 0.660
W 0.538 0.538 0.340
W 0.694 0.694 0.734

***

# 7
V2Mo4W3: simulated powder diffractogram (copper Kα), based on a cell relaxed with PBE.
Intensities are scaled so that the largest is 100.

Main lines, low angle first (10 to 80 degrees two-theta):
14.93 deg, I 34; 37.01 deg, I 28; 38.99 deg, I 45; 39.50 deg, I 28; 40.16 deg, I 100; 43.41 deg, I 34; 43.84 deg, I 21; 44.27 deg, I 29; 60.36 deg, I 15; 68.84 deg, I 37

Structural model:
Cell: 7.722 7.722 4.857 Å, 90.00 90.00 100.41°
Element x y z (fractional)
V 0.011 0.338 0.000
V 0.338 0.011 0.500
V 0.662 0.989 0.500
V 0.989 0.662 0.000
Mo 0.144 0.681 0.500
Mo 0.319 0.856 0.000
Mo 0.331 0.524 0.000
Mo 0.476 0.669 0.500
Mo 0.524 0.331 0.500
Mo 0.669 0.476 0.000
Mo 0.681 0.144 0.000
Mo 0.856 0.319 0.500
W 0.000 0.000 0.250
W 0.000 0.000 0.750
W 0.193 0.329 0.500
W 0.329 0.193 0.000
W 0.671 0.807 0.000
W 0.807 0.671 0.500

***

# 8
VMo3W2: simulated powder diffractogram (copper Kα), based on a cell relaxed with PBE.
Intensities are scaled so that the largest is 100.

Main lines, low angle first (10 to 80 degrees two-theta):
18.83 deg, I 4; 19.93 deg, I 3; 22.11 deg, I 5; 27.55 deg, I 3; 29.94 deg, I 5; 40.57 deg, I 100; 56.93 deg, I 2; 58.72 deg, I 17; 73.76 deg, I 17; 73.85 deg, I 17

Structural model:
Cell: 4.445 9.426 4.454 Å, 90.00 90.00 90.00°
Element x y z (fractional)
V 0.000 0.000 0.000
V 0.500 0.500 0.000
Mo 0.000 0.165 0.500
Mo 0.000 0.500 0.500
Mo 0.000 0.835 0.500
Mo 0.500 0.000 0.500
Mo 0.500 0.335 0.500
Mo 0.500 0.665 0.500
W 0.000 0.334 0.000
W 0.000 0.666 0.000
W 0.500 0.166 0.000
W 0.500 0.834 0.000